# 1
This entry pairs a crystal structure of Te3AsI with its theoretical XRD peak list. Radiation: Cu Kα (weighted mean of Kα1 and Kα2). Structure: a structure optimized by DFT (PBE).
Intensities are scaled so that the largest is 100.

Structure:
a b c (Å): 6.034 7.337 8.537
angles (deg): 90.00 90.06 90.00
Atoms (fractional coordinates):
Te (0.001, 0.000, 0.183)
Te (0.249, 0.028, 0.719)
Te (0.499, 0.001, 0.183)
Te (0.501, 0.501, 0.817)
Te (0.751, 0.528, 0.281)
Te (0.999, 0.500, 0.817)
As (0.250, 0.795, 0.958)
As (0.750, 0.295, 0.042)
I (0.251, 0.484, 0.336)
I (0.749, 0.984, 0.664)

Largest 10 diffraction maxima, by angle, 10° ≤ 2θ ≤ 90°:
2θ/deg  Rel. int.
20.81  29.9
24.12  62.1
24.26  49.5
32.17  41.3
33.80  100.0
40.11  20.1
43.73  26.6
44.20  23.9
49.13  28.9
50.63  21.1

=====

# 2
This entry pairs a crystal structure of Te2As2I with its theoretical XRD peak list. Radiation: Cu Kα (weighted mean of Kα1 and Kα2). Structure: a structure optimized by DFT (PBE).
Intensities are scaled so that the largest is 100.

Structure:
a b c (Å): 7.943 7.943 7.943
angles (deg): 113.92 113.92 100.89
Atoms (fractional coordinates):
Te (0.192, 0.000, 0.192)
Te (0.750, 0.058, 0.308)
Te (0.750, 0.442, 0.692)
Te (0.808, 0.000, 0.808)
As (0.488, 0.138, 0.650)
As (0.488, 0.838, 0.350)
As (0.588, 0.738, 0.850)
As (0.888, 0.738, 0.150)
I (0.180, 0.680, 0.500)
I (0.430, 0.430, 0.000)

Largest 10 diffraction maxima, by angle, 10° ≤ 2θ ≤ 90°:
2θ/deg  Rel. int.
13.46  99.5
20.51  77.8
24.61  78.8
28.40  97.4
32.24  51.8
32.69  80.6
38.52  100.0
41.16  51.4
46.41  38.2
49.02  49.8

=====

# 3
This entry pairs a crystal structure of TlAsI with its theoretical XRD peak list. Radiation: Cu Kα (weighted mean of Kα1 and Kα2). Structure: a structure optimized by DFT (PBE).
Intensities are scaled so that the largest is 100.

Structure:
a b c (Å): 6.708 6.708 9.138
angles (deg): 93.70 93.70 39.77
Atoms (fractional coordinates):
Tl (0.103, 0.103, 0.368)
Tl (0.897, 0.897, 0.632)
As (0.083, 0.083, 0.979)
As (0.917, 0.917, 0.021)
I (0.372, 0.372, 0.339)
I (0.628, 0.628, 0.661)

Largest 10 diffraction maxima, by angle, 10° ≤ 2θ ≤ 90°:
2θ/deg  Rel. int.
20.70  47.1
22.70  56.1
23.12  44.7
28.37  63.9
28.91  100.0
29.39  90.8
30.08  38.4
34.24  69.0
39.50  48.6
49.99  43.8

=====

# 4
This entry pairs a crystal structure of TlVAsI6 with its theoretical XRD peak list. Radiation: Cu Kα (weighted mean of Kα1 and Kα2). Structure: a structure optimized by DFT (PBE).
Intensities are scaled so that the largest is 100.

Structure:
a b c (Å): 7.440 7.440 7.679
angles (deg): 90.00 90.00 120.00
Atoms (fractional coordinates):
Tl (0.000, 0.000, 0.000)
V (0.333, 0.667, 0.500)
As (0.667, 0.333, 0.500)
I (0.008, 0.375, 0.713)
I (0.008, 0.633, 0.287)
I (0.367, 0.375, 0.287)
I (0.367, 0.992, 0.713)
I (0.625, 0.633, 0.713)
I (0.625, 0.992, 0.287)

Largest 10 diffraction maxima, by angle, 10° ≤ 2θ ≤ 90°:
2θ/deg  Rel. int.
17.97  54.7
26.63  100.0
27.03  12.4
27.69  15.4
33.54  70.9
38.79  23.6
42.07  34.8
42.89  17.5
52.58  15.3
54.85  13.4

=====

# 5
This entry pairs a crystal structure of In2As with its theoretical XRD peak list. Radiation: Cu Kα (weighted mean of Kα1 and Kα2). Structure: a structure optimized by DFT (PBE).
Intensities are scaled so that the largest is 100.

Structure:
a b c (Å): 5.824 7.045 4.203
angles (deg): 90.00 90.00 90.00
Atoms (fractional coordinates):
In (0.202, 0.126, 0.000)
In (0.298, 0.626, 0.500)
In (0.702, 0.374, 0.500)
In (0.798, 0.874, 0.000)
As (0.000, 0.500, 0.000)
As (0.500, 0.000, 0.500)

Largest 10 diffraction maxima, by angle, 10° ≤ 2θ ≤ 90°:
2θ/deg  Rel. int.
24.66  22.2
26.15  55.7
29.11  100.0
29.64  93.7
39.77  76.1
43.04  32.4
44.18  37.9
46.99  24.3
48.65  19.7
53.13  35.2

=====

# 6
This entry pairs a crystal structure of InAs with its theoretical XRD peak list. Radiation: Cu Kα (weighted mean of Kα1 and Kα2). Structure: a structure optimized by DFT (PBE).
Intensities are scaled so that the largest is 100.

Structure:
a b c (Å): 4.371 4.371 4.371
angles (deg): 60.00 60.00 60.00
Atoms (fractional coordinates):
In (0.000, 0.000, 0.000)
As (0.250, 0.250, 0.250)

Largest 10 diffraction maxima, by angle, 10° ≤ 2θ ≤ 90°:
2θ/deg  Rel. int.
24.95  100.0
28.89  4.1
41.31  74.6
48.87  47.1
59.85  12.1
65.86  18.8
67.80  1.3
75.32  24.4
80.79  14.1
89.74  8.1

=====

# 7
This entry pairs a crystal structure of In6As with its theoretical XRD peak list. Radiation: Cu Kα (weighted mean of Kα1 and Kα2). Structure: a structure optimized by DFT (PBE).
Intensities are scaled so that the largest is 100.

Structure:
a b c (Å): 7.107 7.107 7.107
angles (deg): 109.47 109.47 109.47
Atoms (fractional coordinates):
In (0.250, 0.500, 0.750)
In (0.250, 0.750, 0.500)
In (0.500, 0.250, 0.750)
In (0.500, 0.750, 0.250)
In (0.750, 0.250, 0.500)
In (0.750, 0.500, 0.250)
As (0.000, 0.000, 0.000)

Largest 10 diffraction maxima, by angle, 10° ≤ 2θ ≤ 90°:
2θ/deg  Rel. int.
15.27  46.3
21.66  41.5
26.61  100.0
37.98  51.9
41.16  61.5
44.14  39.2
61.93  17.7
64.20  24.8
70.77  17.8
77.09  18.5

=====

# 8
This entry pairs a crystal structure of In3As5 with its theoretical XRD peak list. Radiation: Cu Kα (weighted mean of Kα1 and Kα2). Structure: a structure optimized by DFT (PBE).
Intensities are scaled so that the largest is 100.

Structure:
a b c (Å): 9.007 9.007 5.640
angles (deg): 90.00 90.00 120.00
Atoms (fractional coordinates):
In (0.000, 0.402, 0.250)
In (0.000, 0.598, 0.750)
In (0.402, 0.000, 0.250)
In (0.402, 0.402, 0.750)
In (0.598, 0.000, 0.750)
In (0.598, 0.598, 0.250)
As (0.000, 0.163, 0.750)
As (0.000, 0.837, 0.250)
As (0.163, 0.000, 0.750)
As (0.163, 0.163, 0.250)
As (0.333, 0.667, 0.000)
As (0.333, 0.667, 0.500)
As (0.667, 0.333, 0.000)
As (0.667, 0.333, 0.500)
As (0.837, 0.000, 0.250)
As (0.837, 0.837, 0.750)

Largest 10 diffraction maxima, by angle, 10° ≤ 2θ ≤ 90°:
2θ/deg  Rel. int.
25.31  45.3
30.32  26.2
31.73  23.4
34.32  100.0
37.64  32.8
39.43  32.5
41.75  35.1
43.26  39.0
58.20  21.1
68.77  25.0

=====

What is the formula in the third record?
TlAsI